For Ho3Ni2, a DFT-relaxed cell (PBE, Alexandria) gives the theoretical powder X-ray diffraction pattern in this record (copper Kα).

Principal peaks in the range 10° ≤ 2θ ≤ 90°, most intense first:
| d [Å] | Rel. int. |
| --- | --- |
| 2.729 | 1000 |
| 3.189 | 652 |
| 2.536 | 521 |
| 2.161 | 319 |
| 2.396 | 308 |
| 1.645 | 281 |
| 2.362 | 268 |
| 1.985 | 259 |
| 1.637 | 193 |
| 1.816 | 186 |

Atomic structure:
a = 7.4069 Å, b = 7.4069 Å, c = 3.6321 Å
α = 90.00°, β = 90.00°, γ = 146.07°
Atoms (fractional coordinates):
Ho: 0.0000 0.0000 0.0000
Ho: 0.3475 0.6525 0.5000
Ho: 0.6525 0.3475 0.5000
Ni: 0.1968 0.8032 0.0000
Ni: 0.8032 0.1968 0.0000

---

For HoNi12, a DFT-relaxed cell (PBE, Alexandria) gives the theoretical powder X-ray diffraction pattern in this record (copper Kα).

Principal peaks in the range 10° ≤ 2θ ≤ 90°, most intense first:
| d [Å] | Rel. int. |
| --- | --- |
| 2.046 | 1000 |
| 2.037 | 453 |
| 2.361 | 306 |
| 2.890 | 229 |
| 1.824 | 186 |
| 1.182 | 131 |
| 1.289 | 130 |
| 1.831 | 128 |
| 1.180 | 124 |
| 2.349 | 113 |

Atomic structure:
a = 6.2500 Å, b = 6.2500 Å, c = 6.2500 Å
α = 98.12°, β = 98.12°, γ = 135.85°
Atoms (fractional coordinates):
Ho: 0.0000 0.0000 0.0000
Ni: 0.0000 0.0000 0.5000
Ni: 0.0000 0.3542 0.3542
Ni: 0.0000 0.5000 0.0000
Ni: 0.0000 0.6458 0.6458
Ni: 0.2768 0.5000 0.7768
Ni: 0.3542 0.0000 0.3542
Ni: 0.5000 0.0000 0.0000
Ni: 0.5000 0.2768 0.7768
Ni: 0.5000 0.5000 0.5000
Ni: 0.5000 0.7232 0.2232
Ni: 0.6458 0.0000 0.6458
Ni: 0.7232 0.5000 0.2232

---

For HoNp2Ni9, a DFT-relaxed cell (PBE, Alexandria) gives the theoretical powder X-ray diffraction pattern in this record (copper Kα).

Principal peaks in the range 10° ≤ 2θ ≤ 90°, most intense first:
| d [Å] | Rel. int. |
| --- | --- |
| 2.096 | 1000 |
| 2.693 | 608 |
| 2.445 | 596 |
| 2.110 | 352 |
| 2.477 | 321 |
| 8.141 | 229 |
| 1.334 | 225 |
| 1.223 | 195 |
| 4.173 | 193 |
| 1.455 | 192 |

Atomic structure:
a = 8.6167 Å, b = 8.6167 Å, c = 8.6167 Å
α = 32.97°, β = 32.97°, γ = 32.97°
Atoms (fractional coordinates):
Ho: 0.0000 0.0000 0.0000
Np: 0.1440 0.1440 0.1440
Np: 0.8560 0.8560 0.8560
Ni: 0.0823 0.5824 0.5824
Ni: 0.3329 0.3329 0.3329
Ni: 0.4176 0.4176 0.9177
Ni: 0.4176 0.9177 0.4176
Ni: 0.5000 0.5000 0.5000
Ni: 0.5824 0.0823 0.5824
Ni: 0.5824 0.5824 0.0823
Ni: 0.6671 0.6671 0.6671
Ni: 0.9177 0.4176 0.4176